Diffraction record for Ac4InPd2. The X-ray powder pattern is theoretical, not measured: it uses a crystal structure in Alexandria, relaxed with GGA-PBE and Cu Kα (weighted mean of Kα1 and Kα2).
Intensities are scaled so that the largest is 100.

```
data_Ac4InPd2
_symmetry_space_group_name_H-M 'P 1'
_symmetry_Int_Tables_number 1
_cell_length_a 9.5273
_cell_length_b 9.5273
_cell_length_c 7.5404
_cell_angle_alpha 107.56
_cell_angle_beta 107.56
_cell_angle_gamma 120.96
loop_
_symmetry_equiv_pos_as_xyz
'x,y,z'
loop_
_atom_site_label
_atom_site_fract_x
_atom_site_fract_y
_atom_site_fract_z
Ac1 0.0315 0.9685 0.5000
Ac2 0.1807 0.6592 0.3233
Ac3 0.4313 0.5039 0.6321
Ac4 0.5039 0.4313 0.1321
Ac5 0.5729 0.9268 0.1757
Ac6 0.6592 0.1807 0.8233
Ac7 0.9268 0.5729 0.6757
Ac8 0.9685 0.0315 0.0000
In1 0.1000 0.3668 0.8108
In2 0.3668 0.1000 0.3108
Pd1 0.3024 0.9765 0.8629
Pd2 0.6311 0.8154 0.5253
Pd3 0.8154 0.6311 0.0253
Pd4 0.9765 0.3024 0.3629
```

Main lines, low angle first (5° ≤ 2θ ≤ 70°):
2theta  intensity
26.18  56
26.31  44
26.59  54
29.17  61
29.36  75
29.56  100
29.92  67
30.11  65
31.91  57
32.38  95
37.55  41
39.98  46